# 1
Diffraction record for ZrTiFe4. The PXRD pattern is calculated, not measured: it uses a structure optimized by DFT (PBE) and CuKα.
No peak broadening, texture or thermal motion is included.

Atomic structure:
a b c (Å): 4.8877 4.8877 7.9487
angles (deg): 90.00 90.00 120.00
Atoms (fractional coordinates):
Zr  0.3333  0.6667  0.0711
Zr  0.6667  0.3333  0.9289
Ti  0.3333  0.6667  0.4471
Ti  0.6667  0.3333  0.5529
Fe  0.0000  0.0000  0.0000
Fe  0.0000  0.0000  0.5000
Fe  0.1687  0.3375  0.7427
Fe  0.1687  0.8313  0.7427
Fe  0.3375  0.1687  0.2573
Fe  0.6625  0.8313  0.7427
Fe  0.8313  0.1687  0.2573
Fe  0.8313  0.6625  0.2573

Main lines, sorted by position (2θ = 15–90°):
two_theta  I/Imax
36.78  35.6
40.15  76.2
43.47  100.0
44.29  84.7
45.65  15.8
48.75  16.0
68.51  26.8
70.87  20.9
74.67  26.0
78.23  24.1

# 2
Diffraction record for LiZn2SiPd2. The PXRD pattern is calculated, not measured: it uses a structure optimized by DFT (PBE) and CuKα.
No peak broadening, texture or thermal motion is included.

Atomic structure:
a b c (Å): 4.1738 7.8628 5.1543
angles (deg): 90.00 90.00 90.00
Atoms (fractional coordinates):
Li  0.0000  0.0008  0.0000
Li  0.0000  0.9992  0.5000
Zn  0.0000  0.3248  0.8706
Zn  0.0000  0.6752  0.3706
Zn  0.5000  0.4745  0.6281
Zn  0.5000  0.5255  0.1281
Si  0.5000  0.1867  0.2211
Si  0.5000  0.8133  0.7211
Pd  0.0000  0.3281  0.3649
Pd  0.0000  0.6719  0.8649
Pd  0.5000  0.1253  0.7299
Pd  0.5000  0.8747  0.2299

Main lines, sorted by position (2θ = 15–90°):
two_theta  I/Imax
24.14  30.2
28.56  21.3
29.80  26.8
31.26  35.3
40.65  100.0
41.17  76.5
42.81  36.5
43.36  52.2
49.61  36.7
67.97  27.4

# 3
Diffraction record for Cu2PdAu8. The PXRD pattern is calculated, not measured: it uses a structure optimized by DFT (PBE) and CuKα.
No peak broadening, texture or thermal motion is included.

Atomic structure:
a b c (Å): 7.5401 7.5401 7.5401
angles (deg): 147.55 123.23 66.92
Atoms (fractional coordinates):
Cu  0.1900  0.1900  0.0000
Cu  0.8100  0.8100  0.0000
Pd  0.5000  0.5000  0.0000
Au  0.0612  0.3422  0.7191
Au  0.1979  0.0000  0.1979
Au  0.3462  0.8462  0.5000
Au  0.3769  0.6578  0.7191
Au  0.6231  0.3422  0.2809
Au  0.6538  0.1538  0.5000
Au  0.8021  0.0000  0.8021
Au  0.9388  0.6578  0.2809

Main lines, sorted by position (2θ = 15–90°):
two_theta  I/Imax
28.37  11.9
30.07  11.5
37.84  17.3
38.34  14.2
39.38  100.0
42.93  24.0
43.14  20.2
62.50  13.6
76.28  14.7
76.57  10.5

# 4
Diffraction record for CaPrCd14. The PXRD pattern is calculated, not measured: it uses a structure optimized by DFT (PBE) and CuKα.
No peak broadening, texture or thermal motion is included.

Atomic structure:
a b c (Å): 6.6865 6.6865 8.5503
angles (deg): 90.00 90.00 90.00
Atoms (fractional coordinates):
Ca  0.0000  0.0000  0.0000
Pr  0.5000  0.5000  0.0000
Cd  0.0000  0.0000  0.5000
Cd  0.0000  0.5000  0.0000
Cd  0.0000  0.5000  0.5000
Cd  0.2483  0.2483  0.2636
Cd  0.2483  0.2483  0.7364
Cd  0.2483  0.7517  0.2636
Cd  0.2483  0.7517  0.7364
Cd  0.5000  0.0000  0.0000
Cd  0.5000  0.0000  0.5000
Cd  0.5000  0.5000  0.5000
Cd  0.7517  0.2483  0.2636
Cd  0.7517  0.2483  0.7364
Cd  0.7517  0.7517  0.2636
Cd  0.7517  0.7517  0.7364

Main lines, sorted by position (2θ = 15–90°):
two_theta  I/Imax
16.83  1.7
34.04  100.0
38.07  37.2
42.28  12.9
54.93  12.3
58.19  19.3
66.22  27.0
71.67  10.1
72.04  9.3
81.42  3.8